This entry pairs a crystal structure of Dy2Tm7Mg with its theoretical X-ray diffraction stick pattern. Radiation: Cu Kα (weighted mean of Kα1 and Kα2). Structure: a GGA-PBE-relaxed structure.

Structural model:
```
data_Dy2Tm7Mg
_cell_length_a 8.5953
_cell_length_b 16.3422
_cell_length_c 5.2417
_cell_angle_alpha 90.00
_cell_angle_beta 90.00
_cell_angle_gamma 90.00
_space_group_name_H-M_alt 'C m m m'
_space_group_IT_number 65
_space_group_name_Hall '-C 2 2'
loop_
_atom_site_label
_atom_site_type_symbol
_atom_site_fract_x
_atom_site_fract_y
_atom_site_fract_z
Dy1 Dy 0.0000 0.2050 0.0000
Tm1 Tm 0.0000 0.0000 0.0000
Tm2 Tm 0.0000 0.3013 0.5000
Tm3 Tm 0.1777 0.3936 0.0000
Mg1 Mg 0.0000 0.5000 0.5000
```

Principal peaks in the range 2θ = 15–90°, sorted by position:
2θ = 16.91°, I 68.0, (0 0 1); 2θ = 30.18°, I 33.3, (2 4 0); 2θ = 33.96°, I 100.0, (1 5 1); 2θ = 34.21°, I 44.1, (0 0 2); 2θ = 34.80°, I 22.4, (2 4 1); 2θ = 36.15°, I 53.9, (3 1 1); 2θ = 39.50°, I 23.3, (3 3 1); 2θ = 63.69°, I 23.2, (5 5 1)